# BaAg2Os2O7
Theoretical X-ray powder pattern, CuKα. Input: a crystal structure in Alexandria, relaxed with GGA-PBE.
Peak positions follow from Bragg's law for the DFT cell and can differ from measured ones.

Cell and atoms:
```
data_BaAg2Os2O7
_chemical_formula_sum 'Ba2 Ag4 Os4 O14'
_cell_length_a 3.8752
_cell_length_b 3.9299
_cell_length_c 22.3865
_cell_angle_alpha 90.00
_cell_angle_beta 90.00
_cell_angle_gamma 90.00
_symmetry_space_group_name_H-M 'I m m m'
_symmetry_Int_Tables_number 71
_symmetry_space_group_name_Hall '-I 2 2'
loop_
_atom_site_label
_atom_site_fract_x
_atom_site_fract_y
_atom_site_fract_z
Ba1 0.0000 0.0000 0.0000
Ag1 0.0000 0.5000 0.2686
Os1 0.0000 0.0000 0.4039
O1 0.0000 0.0000 0.3185
O2 0.0000 0.0000 0.5000
O3 0.0000 0.5000 0.0923
O4 0.0000 0.5000 0.4079
```

Largest 8 diffraction maxima, in order of rising 2θ, 10° ≤ 2θ ≤ 90°:
2θ (°)	I (rel.)	(hkl)
23.8	41	0 0 6
25.9	44	1 0 3
30.3	100	0 1 5
33.4	93	1 1 2
36.3	34	1 1 4
36.4	38	1 0 7
52.6	49	1 1 10
56.8	35	2 1 5



# YHoSi2
Theoretical X-ray powder pattern, CuKα. Input: a crystal structure in Alexandria, relaxed with GGA-PBE.
Peak positions follow from Bragg's law for the DFT cell and can differ from measured ones.

Cell and atoms:
```
data_YHoSi2
_chemical_formula_sum 'Y2 Ho2 Si4'
_cell_length_a 3.8326
_cell_length_b 4.2697
_cell_length_c 10.5219
_cell_angle_alpha 90.00
_cell_angle_beta 90.00
_cell_angle_gamma 90.00
_symmetry_space_group_name_H-M 'A m m 2'
_symmetry_Int_Tables_number 38
_symmetry_space_group_name_Hall 'A 2 -2'
loop_
_atom_site_label
_atom_site_fract_x
_atom_site_fract_y
_atom_site_fract_z
Y1 0.0000 0.0000 0.0000
Ho1 0.5000 0.0000 0.7194
Si1 0.0000 0.0000 0.2829
Si2 0.5000 0.0000 0.4356
```

Largest 8 diffraction maxima, in order of rising 2θ, 10° ≤ 2θ ≤ 90°:
2θ (°)	I (rel.)	(hkl)
22.5	36	0 1 1
28.8	54	1 0 2
32.5	100	1 1 1
33.1	50	0 1 3
34.1	28	0 0 4
40.8	37	1 1 3
42.3	22	0 2 0
52.0	21	1 2 2